Theoretical powder diffractogram
Compound: Pr3CuPt
Radiation: copper Kα
Structure: the GGA-PBE geometry in Alexandria

Most intense lines, 2θ from 10° to 90°, low angle first:
2theta	d/Å	intensity
14.5	6.110	47
29.0	3.080	81
29.2	3.055	46
30.1	2.964	100
31.7	2.823	74
33.1	2.708	93
34.1	2.630	45
35.4	2.535	99
36.1	2.490	43
39.4	2.290	47
44.8	2.021	73
54.0	1.697	42

Structure:
a = 8.414 Å, b = 8.414 Å, c = 8.357 Å
α = 95.24°, β = 95.24°, γ = 27.81°
Element x y z (fractional)
1 Pr 0.056 0.056 0.320
2 Pr 0.225 0.225 0.679
3 Pr 0.402 0.402 0.058
4 Pr 0.598 0.598 0.942
5 Pr 0.775 0.775 0.321
6 Pr 0.944 0.944 0.680
7 Cu 0.217 0.217 0.058
8 Cu 0.783 0.783 0.942
9 Pt 0.409 0.409 0.419
10 Pt 0.591 0.591 0.581


Theoretical powder diffractogram
Compound: Pr2Cu5Pt5
Radiation: copper Kα
Structure: the GGA-PBE geometry in Alexandria

Most intense lines, 2θ from 10° to 90°, low angle first:
2theta	d/Å	intensity
19.6	4.525	19
20.5	4.342	20
33.8	2.651	27
34.6	2.593	22
39.8	2.263	100
40.5	2.226	30
41.6	2.171	31
45.2	2.006	18
54.6	1.680	14
65.5	1.425	22
74.7	1.270	15
85.9	1.131	16

Structure:
a = 4.342 Å, b = 5.187 Å, c = 9.255 Å
α = 90.00°, β = 90.00°, γ = 90.00°
Element x y z (fractional)
1 Pr 0.000 0.000 0.000
2 Pr 0.000 0.500 0.500
3 Cu 0.500 0.000 0.500
4 Cu 0.500 0.249 0.256
5 Cu 0.500 0.249 0.744
6 Cu 0.500 0.751 0.256
7 Cu 0.500 0.751 0.744
8 Pt 0.000 0.000 0.334
9 Pt 0.000 0.000 0.666
10 Pt 0.000 0.500 0.177
11 Pt 0.000 0.500 0.823
12 Pt 0.500 0.500 0.000


Theoretical powder diffractogram
Compound: PrCu2Pt6
Radiation: copper Kα
Structure: the GGA-PBE geometry in Alexandria

Most intense lines, 2θ from 10° to 90°, low angle first:
2theta	d/Å	intensity
22.2	3.997	18
26.1	3.408	12
31.7	2.826	87
39.0	2.307	9
41.5	2.175	5
45.4	1.998	100
51.1	1.787	4
56.4	1.632	23
61.4	1.511	5
66.1	1.413	16
75.2	1.264	30
83.9	1.154	34

Structure:
a = 7.993 Å, b = 7.993 Å, c = 7.993 Å
α = 60.00°, β = 60.00°, γ = 60.00°
Element x y z (fractional)
1 Pr 0.125 0.125 0.125
2 Pr 0.875 0.875 0.875
3 Cu 0.000 0.500 0.500
4 Cu 0.500 0.000 0.500
5 Cu 0.500 0.500 0.000
6 Cu 0.500 0.500 0.500
7 Pt 0.124 0.124 0.626
8 Pt 0.124 0.626 0.124
9 Pt 0.124 0.626 0.626
10 Pt 0.374 0.374 0.876
11 Pt 0.374 0.876 0.374
12 Pt 0.374 0.876 0.876
13 Pt 0.626 0.124 0.124
14 Pt 0.626 0.124 0.626
15 Pt 0.626 0.626 0.124
16 Pt 0.876 0.374 0.374
17 Pt 0.876 0.374 0.876
18 Pt 0.876 0.876 0.374


Theoretical powder diffractogram
Compound: PrCu4Pt4
Radiation: copper Kα
Structure: the GGA-PBE geometry in Alexandria

Most intense lines, 2θ from 10° to 90°, low angle first:
2theta	d/Å	intensity
15.2	5.825	59
31.1	2.874	47
34.4	2.605	60
38.2	2.357	53
39.2	2.298	48
44.3	2.046	100
49.5	1.842	13
53.1	1.723	34
66.1	1.413	15
71.4	1.322	12
72.8	1.299	17
74.6	1.272	21

Structure:
a = 8.237 Å, b = 8.237 Å, c = 4.596 Å
α = 90.00°, β = 90.00°, γ = 90.00°
Element x y z (fractional)
1 Pr 0.250 0.250 0.250
2 Pr 0.750 0.750 0.750
3 Cu 0.001 0.110 0.743
4 Cu 0.110 0.499 0.757
5 Cu 0.390 0.001 0.757
6 Cu 0.499 0.390 0.743
7 Cu 0.501 0.610 0.257
8 Cu 0.610 0.999 0.243
9 Cu 0.890 0.501 0.243
10 Cu 0.999 0.890 0.257
11 Pt 0.113 0.832 0.758
12 Pt 0.168 0.613 0.258
13 Pt 0.332 0.887 0.258
14 Pt 0.387 0.668 0.758
15 Pt 0.613 0.332 0.242
16 Pt 0.668 0.113 0.742
17 Pt 0.832 0.387 0.742
18 Pt 0.887 0.168 0.242


Theoretical powder diffractogram
Compound: Pr3Cu2Pt3
Radiation: copper Kα
Structure: the GGA-PBE geometry in Alexandria

Most intense lines, 2θ from 10° to 90°, low angle first:
2theta	d/Å	intensity
28.6	3.124	21
32.8	2.732	100
32.9	2.721	32
36.1	2.485	21
37.1	2.425	50
40.5	2.228	32
41.8	2.161	37
45.7	1.983	15
54.2	1.692	17
56.4	1.631	15
63.7	1.462	19
66.9	1.398	21

Structure:
a = 5.855 Å, b = 5.855 Å, c = 14.910 Å
α = 90.00°, β = 90.00°, γ = 136.68°
Element x y z (fractional)
1 Pr 0.092 0.908 0.603
2 Pr 0.092 0.908 0.897
3 Pr 0.368 0.632 0.750
4 Pr 0.632 0.368 0.250
5 Pr 0.908 0.092 0.103
6 Pr 0.908 0.092 0.397
7 Cu 0.210 0.790 0.101
8 Cu 0.210 0.790 0.399
9 Cu 0.790 0.210 0.601
10 Cu 0.790 0.210 0.899
11 Pt 0.344 0.656 0.250
12 Pt 0.388 0.612 0.545
13 Pt 0.388 0.612 0.955
14 Pt 0.612 0.388 0.045
15 Pt 0.612 0.388 0.455
16 Pt 0.656 0.344 0.750


Theoretical powder diffractogram
Compound: PrCu4Pt8
Radiation: copper Kα
Structure: the GGA-PBE geometry in Alexandria

Most intense lines, 2θ from 10° to 90°, low angle first:
2theta	d/Å	intensity
28.1	3.177	23
34.8	2.581	42
35.3	2.543	40
40.1	2.247	41
40.3	2.238	100
40.8	2.213	27
45.1	2.010	16
45.3	2.004	45
45.7	1.986	50
66.7	1.402	23
73.0	1.296	31
73.4	1.291	17

Structure:
a = 6.845 Å, b = 6.845 Å, c = 6.845 Å
α = 97.94°, β = 97.94°, γ = 136.38°
Element x y z (fractional)
1 Pr 0.000 0.000 0.000
2 Cu 0.000 0.000 0.500
3 Cu 0.000 0.500 0.000
4 Cu 0.500 0.000 0.000
5 Cu 0.500 0.500 0.500
6 Pt 0.000 0.347 0.347
7 Pt 0.000 0.653 0.653
8 Pt 0.278 0.500 0.778
9 Pt 0.347 0.000 0.347
10 Pt 0.500 0.278 0.778
11 Pt 0.500 0.722 0.222
12 Pt 0.653 0.000 0.653
13 Pt 0.722 0.500 0.222


Theoretical powder diffractogram
Compound: PrCu10Pt2
Radiation: copper Kα
Structure: the GGA-PBE geometry in Alexandria

Most intense lines, 2θ from 10° to 90°, low angle first:
2theta	d/Å	intensity
14.5	6.120	28
15.0	5.914	21
20.9	4.253	33
29.2	3.058	16
33.7	2.663	24
36.0	2.495	25
40.4	2.234	100
41.4	2.181	27
42.5	2.126	89
45.5	1.993	30
46.2	1.964	29
76.3	1.248	27

Structure:
a = 8.511 Å, b = 6.659 Å, c = 6.471 Å
α = 80.79°, β = 50.57°, γ = 48.64°
Element x y z (fractional)
1 Pr 0.000 0.000 0.000
2 Cu 0.000 0.500 0.000
3 Cu 0.003 0.354 0.646
4 Cu 0.272 0.491 0.509
5 Cu 0.354 0.003 0.997
6 Cu 0.491 0.272 0.728
7 Cu 0.500 0.000 0.500
8 Cu 0.509 0.728 0.272
9 Cu 0.646 0.997 0.003
10 Cu 0.728 0.509 0.491
11 Cu 0.997 0.646 0.354
12 Pt 0.000 0.000 0.500
13 Pt 0.500 0.500 0.000


Theoretical powder diffractogram
Compound: Pr2Cu2Pt5Rh
Radiation: copper Kα
Structure: the GGA-PBE geometry in Alexandria

Most intense lines, 2θ from 10° to 90°, low angle first:
2theta	d/Å	intensity
22.1	4.019	18
30.8	2.904	30
35.0	2.560	34
37.7	2.389	100
39.6	2.279	56
40.7	2.214	16
41.3	2.186	49
43.1	2.101	13
44.7	2.028	13
45.1	2.010	36
61.5	1.507	31
75.3	1.261	16

Structure:
a = 9.395 Å, b = 9.395 Å, c = 4.019 Å
α = 90.00°, β = 90.00°, γ = 90.00°
Element x y z (fractional)
1 Pr 0.183 0.317 0.000
2 Pr 0.317 0.817 0.000
3 Pr 0.683 0.183 0.000
4 Pr 0.817 0.683 0.000
5 Cu 0.116 0.616 0.000
6 Cu 0.384 0.116 0.000
7 Cu 0.616 0.884 0.000
8 Cu 0.884 0.384 0.000
9 Pt 0.000 0.500 0.500
10 Pt 0.061 0.793 0.500
11 Pt 0.207 0.061 0.500
12 Pt 0.293 0.561 0.500
13 Pt 0.439 0.293 0.500
14 Pt 0.500 0.000 0.500
15 Pt 0.561 0.707 0.500
16 Pt 0.707 0.439 0.500
17 Pt 0.793 0.939 0.500
18 Pt 0.939 0.207 0.500
19 Rh 0.000 0.000 0.000
20 Rh 0.500 0.500 0.000